Structure and calculated powder X-ray diffraction pattern of K6P2Pt (a cell relaxed with PBE; copper Kα).
Peak positions follow from Bragg's law for the DFT cell and can differ from measured ones.

Principal peaks in the range 2θ = 5–70°, in order of rising 2θ:
8.8 deg, rel. 84
18.2 deg, rel. 50
18.9 deg, rel. 27
23.3 deg, rel. 36
27.5 deg, rel. 32
31.3 deg, rel. 100
32.6 deg, rel. 25
34.9 deg, rel. 45

Crystal structure
a = 10.5620 Å, b = 10.5620 Å, c = 10.5620 Å
α = 31.36°, β = 31.36°, γ = 31.36°
Fractional positions:
1 K 0.0844 0.0844 0.0844
2 K 0.1995 0.1995 0.1995
3 K 0.3134 0.3134 0.3134
4 K 0.6866 0.6866 0.6866
5 K 0.8005 0.8005 0.8005
6 K 0.9156 0.9156 0.9156
7 P 0.4206 0.4206 0.4206
8 P 0.5794 0.5794 0.5794
9 Pt 0.5000 0.5000 0.5000


Structure and calculated powder X-ray diffraction pattern of Zr2RhI (a cell relaxed with PBE; copper Kα).
Peak positions follow from Bragg's law for the DFT cell and can differ from measured ones.

Principal peaks in the range 2θ = 5–70°, in order of rising 2θ:
22.3 deg, rel. 1
25.8 deg, rel. 1
36.8 deg, rel. 100
53.0 deg, rel. 17
59.9 deg, rel. 1
66.3 deg, rel. 34

Crystal structure
a = 6.9075 Å, b = 6.9075 Å, c = 6.9075 Å
α = 90.00°, β = 90.00°, γ = 90.00°
Fractional positions:
1 Zr 0.2500 0.2500 0.2500
2 Zr 0.2500 0.2500 0.7500
3 Zr 0.2500 0.7500 0.2500
4 Zr 0.2500 0.7500 0.7500
5 Zr 0.7500 0.2500 0.2500
6 Zr 0.7500 0.2500 0.7500
7 Zr 0.7500 0.7500 0.2500
8 Zr 0.7500 0.7500 0.7500
9 Rh 0.0000 0.0000 0.0000
10 Rh 0.0000 0.5000 0.5000
11 Rh 0.5000 0.0000 0.5000
12 Rh 0.5000 0.5000 0.0000
13 I 0.0000 0.0000 0.5000
14 I 0.0000 0.5000 0.0000
15 I 0.5000 0.0000 0.0000
16 I 0.5000 0.5000 0.5000